Entry 1:
Theoretical PXRD pattern of Ba7Br2Cl12 for Cu Ka, from a cell relaxed with GGA-PBE.
Peak positions follow from Bragg's law for the DFT cell and can differ from measured ones.

Most intense lines, 15° ≤ 2θ ≤ 90°, low angle first:
2θ/deg  intensity
21.44  85
23.15  37
24.55  48
28.36  100
34.85  52
37.19  37
37.59  67
40.42  41
43.33  28
53.91  46

Crystal structure
```
data_Ba7Br2Cl12
_symmetry_space_group_name_H-M 'P -6'
_symmetry_Int_Tables_number 174
_cell_length_a 12.6617
_cell_length_b 12.6617
_cell_length_c 4.8354
_cell_angle_alpha 90.00
_cell_angle_beta 90.00
_cell_angle_gamma 120.00
loop_
_symmetry_equiv_pos_as_xyz
'x,y,z'
'-x+y,-x,-z'
'-y,x-y,z'
'x,y,-z'
'-x+y,-x,z'
'-y,x-y,-z'
loop_
_atom_site_label
_atom_site_type_symbol
_atom_site_fract_x
_atom_site_fract_y
_atom_site_fract_z
_atom_site_occupancy
Ba1 Ba 0.0000 0.0000 0.0000 1
Ba2 Ba 0.1236 0.4100 0.5000 1
Ba3 Ba 0.4181 0.2964 0.0000 1
Br1 Br 0.3333 0.6667 0.0000 1
Br2 Br 0.6667 0.3333 0.5000 1
Cl1 Cl 0.0491 0.6101 0.5000 1
Cl2 Cl 0.1156 0.8369 0.0000 1
Cl3 Cl 0.2200 0.0939 0.5000 1
Cl4 Cl 0.4316 0.0599 0.0000 1
```

***

Entry 2:
Theoretical PXRD pattern of Ba2Br3Cl for Cu Ka, from a cell relaxed with GGA-PBE.
Peak positions follow from Bragg's law for the DFT cell and can differ from measured ones.

Most intense lines, 15° ≤ 2θ ≤ 90°, low angle first:
2θ/deg  intensity
19.95  54
32.86  100
38.74  29
47.15  18
51.68  13
58.66  36
62.61  10
68.89  11
72.54  9
78.46  16

Crystal structure
```
data_Ba2Br3Cl
_symmetry_space_group_name_H-M 'P n -3 m'
_symmetry_Int_Tables_number 224
_cell_length_a 7.7097
_cell_length_b 7.7097
_cell_length_c 7.7097
_cell_angle_alpha 90.00
_cell_angle_beta 90.00
_cell_angle_gamma 90.00
loop_
_symmetry_equiv_pos_as_xyz
'x,y,z'
'-x,-y,-z'
'-y,x+1/2,z+1/2'
'y,-x+1/2,-z+1/2'
'-x+1/2,-y+1/2,z'
'x+1/2,y+1/2,-z'
'y+1/2,-x,z+1/2'
'-y+1/2,x,-z+1/2'
'x,-y+1/2,-z+1/2'
'-x,y+1/2,z+1/2'
'-y,-x,-z'
'y,x,z'
'-x+1/2,y,-z+1/2'
'x+1/2,-y,z+1/2'
'y+1/2,x+1/2,-z'
'-y+1/2,-x+1/2,z'
'z,x,y'
'-z,-x,-y'
'z+1/2,-y,x+1/2'
'-z+1/2,y,-x+1/2'
'z,-x+1/2,-y+1/2'
'-z,x+1/2,y+1/2'
'z+1/2,y+1/2,-x'
'-z+1/2,-y+1/2,x'
'-z+1/2,x,-y+1/2'
'z+1/2,-x,y+1/2'
'-z,-y,-x'
'z,y,x'
'-z+1/2,-x+1/2,y'
'z+1/2,x+1/2,-y'
'-z,y+1/2,x+1/2'
'z,-y+1/2,-x+1/2'
'y,z,x'
'-y,-z,-x'
'x+1/2,z+1/2,-y'
'-x+1/2,-z+1/2,y'
'-y+1/2,z,-x+1/2'
'y+1/2,-z,x+1/2'
'-x,z+1/2,y+1/2'
'x,-z+1/2,-y+1/2'
'-y+1/2,-z+1/2,x'
'y+1/2,z+1/2,-x'
'-x,-z,-y'
'x,z,y'
'y,-z+1/2,-x+1/2'
'-y,z+1/2,x+1/2'
'x+1/2,-z,y+1/2'
'-x+1/2,z,-y+1/2'
loop_
_atom_site_label
_atom_site_type_symbol
_atom_site_fract_x
_atom_site_fract_y
_atom_site_fract_z
_atom_site_occupancy
Ba1 Ba 0.0000 0.0000 0.0000 1
Br1 Br 0.2500 0.2500 0.7500 1
Cl1 Cl 0.2500 0.2500 0.2500 1
```

***

Entry 3:
Theoretical PXRD pattern of Ba2BrCl3 for Cu Ka, from a cell relaxed with GGA-PBE.
Peak positions follow from Bragg's law for the DFT cell and can differ from measured ones.

Most intense lines, 15° ≤ 2θ ≤ 90°, low angle first:
2θ/deg  intensity
20.46  79
33.72  100
39.76  43
48.43  17
53.09  18
60.30  35
64.39  14
70.90  11
74.69  13
80.85  15

Crystal structure
```
data_Ba2BrCl3
_symmetry_space_group_name_H-M 'P n -3 m'
_symmetry_Int_Tables_number 224
_cell_length_a 7.5189
_cell_length_b 7.5189
_cell_length_c 7.5189
_cell_angle_alpha 90.00
_cell_angle_beta 90.00
_cell_angle_gamma 90.00
loop_
_symmetry_equiv_pos_as_xyz
'x,y,z'
'-x,-y,-z'
'-y,x+1/2,z+1/2'
'y,-x+1/2,-z+1/2'
'-x+1/2,-y+1/2,z'
'x+1/2,y+1/2,-z'
'y+1/2,-x,z+1/2'
'-y+1/2,x,-z+1/2'
'x,-y+1/2,-z+1/2'
'-x,y+1/2,z+1/2'
'-y,-x,-z'
'y,x,z'
'-x+1/2,y,-z+1/2'
'x+1/2,-y,z+1/2'
'y+1/2,x+1/2,-z'
'-y+1/2,-x+1/2,z'
'z,x,y'
'-z,-x,-y'
'z+1/2,-y,x+1/2'
'-z+1/2,y,-x+1/2'
'z,-x+1/2,-y+1/2'
'-z,x+1/2,y+1/2'
'z+1/2,y+1/2,-x'
'-z+1/2,-y+1/2,x'
'-z+1/2,x,-y+1/2'
'z+1/2,-x,y+1/2'
'-z,-y,-x'
'z,y,x'
'-z+1/2,-x+1/2,y'
'z+1/2,x+1/2,-y'
'-z,y+1/2,x+1/2'
'z,-y+1/2,-x+1/2'
'y,z,x'
'-y,-z,-x'
'x+1/2,z+1/2,-y'
'-x+1/2,-z+1/2,y'
'-y+1/2,z,-x+1/2'
'y+1/2,-z,x+1/2'
'-x,z+1/2,y+1/2'
'x,-z+1/2,-y+1/2'
'-y+1/2,-z+1/2,x'
'y+1/2,z+1/2,-x'
'-x,-z,-y'
'x,z,y'
'y,-z+1/2,-x+1/2'
'-y,z+1/2,x+1/2'
'x+1/2,-z,y+1/2'
'-x+1/2,z,-y+1/2'
loop_
_atom_site_label
_atom_site_type_symbol
_atom_site_fract_x
_atom_site_fract_y
_atom_site_fract_z
_atom_site_occupancy
Ba1 Ba 0.0000 0.0000 0.0000 1
Br1 Br 0.2500 0.2500 0.2500 1
Cl1 Cl 0.2500 0.2500 0.7500 1
```

***

Entry 4:
Theoretical PXRD pattern of Ba2Cu3BrClO4 for Cu Ka, from a cell relaxed with GGA-PBE.
Peak positions follow from Bragg's law for the DFT cell and can differ from measured ones.

Most intense lines, 15° ≤ 2θ ≤ 90°, low angle first:
2θ/deg  intensity
17.01  31
24.08  100
32.14  72
33.20  95
34.27  18
40.56  45
46.09  40
57.98  37
59.98  21
69.69  20

Crystal structure
```
data_Ba2Cu3BrClO4
_symmetry_space_group_name_H-M 'I -4 m 2'
_symmetry_Int_Tables_number 119
_symmetry_space_group_name_Hall 'I -4 -2'
_cell_length_a 5.5699
_cell_length_b 5.5699
_cell_length_c 14.8187
_cell_angle_alpha 90.00
_cell_angle_beta 90.00
_cell_angle_gamma 90.00
loop_
_atom_site_label
_atom_site_type_symbol
_atom_site_fract_x
_atom_site_fract_y
_atom_site_fract_z
_atom_site_occupancy
Ba1 Ba 0.0000 0.0000 0.1343 1
Cu1 Cu 0.0000 0.0000 0.5000 1
Cu2 Cu 0.0000 0.5000 0.9998 1
Br1 Br 0.0000 0.5000 0.7500 1
Cl1 Cl 0.0000 0.5000 0.2500 1
O1 O 0.2436 0.2436 0.5000 1
```

***

Entry 5:
Theoretical PXRD pattern of Ba7BrClF12 for Cu Ka, from a cell relaxed with GGA-PBE.
Peak positions follow from Bragg's law for the DFT cell and can differ from measured ones.

Most intense lines, 15° ≤ 2θ ≤ 90°, low angle first:
2θ/deg  intensity
25.10  100
26.66  66
28.33  51
32.89  54
40.65  36
42.55  25
44.22  34
47.33  40
50.04  31
63.04  23

Crystal structure
```
data_Ba7BrClF12
_symmetry_space_group_name_H-M 'P -6'
_symmetry_Int_Tables_number 174
_cell_length_a 10.8371
_cell_length_b 10.8371
_cell_length_c 4.2495
_cell_angle_alpha 90.00
_cell_angle_beta 90.00
_cell_angle_gamma 120.00
loop_
_symmetry_equiv_pos_as_xyz
'x,y,z'
'-x+y,-x,-z'
'-y,x-y,z'
'x,y,-z'
'-x+y,-x,z'
'-y,x-y,-z'
loop_
_atom_site_label
_atom_site_type_symbol
_atom_site_fract_x
_atom_site_fract_y
_atom_site_fract_z
_atom_site_occupancy
Ba1 Ba 0.0000 0.0000 0.0000 1
Ba2 Ba 0.1079 0.7140 0.5000 1
Ba3 Ba 0.4125 0.1072 0.0000 1
Br1 Br 0.3333 0.6667 0.0000 1
Cl1 Cl 0.6667 0.3333 0.5000 1
F1 F 0.0469 0.4380 0.5000 1
F2 F 0.1190 0.2757 0.0000 1
F3 F 0.2132 0.1163 0.5000 1
F4 F 0.4289 0.3627 0.0000 1
```

***

Entry 6:
Theoretical PXRD pattern of BaLiBrCl2 for Cu Ka, from a cell relaxed with GGA-PBE.
Peak positions follow from Bragg's law for the DFT cell and can differ from measured ones.

Most intense lines, 15° ≤ 2θ ≤ 90°, low angle first:
2θ/deg  intensity
18.81  38
22.76  29
28.12  27
29.10  100
31.78  21
35.40  31
39.92  36
40.04  19
43.15  21
56.45  24

Crystal structure
```
data_BaLiBrCl2
_symmetry_space_group_name_H-M 'C m c m'
_symmetry_Int_Tables_number 63
_symmetry_space_group_name_Hall '-C 2c 2'
_cell_length_a 4.5035
_cell_length_b 14.0412
_cell_length_c 9.4329
_cell_angle_alpha 90.00
_cell_angle_beta 90.00
_cell_angle_gamma 90.00
loop_
_atom_site_label
_atom_site_type_symbol
_atom_site_fract_x
_atom_site_fract_y
_atom_site_fract_z
_atom_site_occupancy
Ba1 Ba 0.0000 0.2441 0.2500 1
Li1 Li 0.0000 0.0000 0.0000 1
Br1 Br 0.0000 0.4358 0.7500 1
Cl1 Cl 0.0000 0.1576 0.5630 1
```

***

Entry 7:
Theoretical PXRD pattern of BaMnBrCl4 for Cu Ka, from a cell relaxed with GGA-PBE.
Peak positions follow from Bragg's law for the DFT cell and can differ from measured ones.

Most intense lines, 15° ≤ 2θ ≤ 90°, low angle first:
2θ/deg  intensity
15.21  18
18.03  100
21.14  32
26.58  41
29.71  23
34.97  24
35.80  44
36.52  19
37.24  23
44.52  23

Crystal structure
```
data_BaMnBrCl4
_symmetry_space_group_name_H-M 'C 1 2/m 1'
_symmetry_Int_Tables_number 12
_cell_length_a 12.4182
_cell_length_b 9.8410
_cell_length_c 9.2140
_cell_angle_alpha 90.00
_cell_angle_beta 110.28
_cell_angle_gamma 90.00
loop_
_symmetry_equiv_pos_as_xyz
'x,y,z'
'-x,-y,-z'
'-x,y,-z'
'x,-y,z'
'x+1/2,y+1/2,z'
'-x+1/2,-y+1/2,-z'
'-x+1/2,y+1/2,-z'
'x+1/2,-y+1/2,z'
loop_
_atom_site_label
_atom_site_type_symbol
_atom_site_fract_x
_atom_site_fract_y
_atom_site_fract_z
_atom_site_occupancy
Ba1 Ba 0.2125 0.0000 0.1001 1
Mn1 Mn 0.1497 0.5000 0.2704 1
Br1 Br 0.0005 0.0000 0.7821 1
Cl1 Cl 0.0185 0.5000 0.6991 1
Cl2 Cl 0.1845 0.3239 0.1253 1
Cl3 Cl 0.2340 0.0000 0.4894 1
```

***

Entry 8:
Theoretical PXRD pattern of Ba6Br2N3Cl for Cu Ka, from a cell relaxed with GGA-PBE.
Peak positions follow from Bragg's law for the DFT cell and can differ from measured ones.

Most intense lines, 15° ≤ 2θ ≤ 90°, low angle first:
2θ/deg  intensity
25.75  41
28.94  100
31.13  38
34.15  19
39.38  20
43.32  40
49.35  15
52.94  19
56.28  26
70.72  15

Crystal structure
```
data_Ba6Br2N3Cl
_symmetry_space_group_name_H-M 'P -3 m 1'
_symmetry_Int_Tables_number 164
_symmetry_space_group_name_Hall '-P 3 2"'
_cell_length_a 4.1774
_cell_length_b 4.1774
_cell_length_c 23.6324
_cell_angle_alpha 90.00
_cell_angle_beta 90.00
_cell_angle_gamma 120.00
loop_
_atom_site_label
_atom_site_type_symbol
_atom_site_fract_x
_atom_site_fract_y
_atom_site_fract_z
_atom_site_occupancy
Ba1 Ba 0.0000 0.0000 0.2244 1
Ba2 Ba 0.3333 0.6667 0.4374 1
Ba3 Ba 0.3333 0.6667 0.9009 1
Br1 Br 0.3333 0.6667 0.6691 1
N1 N 0.0000 0.0000 0.5000 1
N2 N 0.3333 0.6667 0.1617 1
Cl1 Cl 0.0000 0.0000 0.0000 1
```

***

Entry 9:
Theoretical PXRD pattern of Ba10Br4N5Cl for Cu Ka, from a cell relaxed with GGA-PBE.
Peak positions follow from Bragg's law for the DFT cell and can differ from measured ones.

Most intense lines, 15° ≤ 2θ ≤ 90°, low angle first:
2θ/deg  intensity
25.72  37
28.88  100
31.05  40
33.97  19
39.23  20
43.27  40
52.86  18
56.12  27
56.40  14
70.61  15

Crystal structure
```
data_Ba10Br4N5Cl
_symmetry_space_group_name_H-M 'R -3 m'
_symmetry_Int_Tables_number 166
_symmetry_space_group_name_Hall '-R 3 2"'
_cell_length_a 4.1820
_cell_length_b 4.1820
_cell_length_c 118.7703
_cell_angle_alpha 90.00
_cell_angle_beta 90.00
_cell_angle_gamma 120.00
loop_
_atom_site_label
_atom_site_type_symbol
_atom_site_fract_x
_atom_site_fract_y
_atom_site_fract_z
_atom_site_occupancy
Ba1 Ba 0.0000 0.0000 0.0446 1
Ba2 Ba 0.0000 0.0000 0.1542 1
Ba3 Ba 0.0000 0.0000 0.2464 1
Ba4 Ba 0.0000 0.0000 0.3530 1
Ba5 Ba 0.0000 0.0000 0.4452 1
Br1 Br 0.0000 0.0000 0.2003 1
Br2 Br 0.0000 0.0000 0.3991 1
N1 N 0.0000 0.0000 0.0994 1
N2 N 0.0000 0.0000 0.3012 1
N3 N 0.0000 0.0000 0.5000 1
Cl1 Cl 0.0000 0.0000 0.0000 1
```

***

Entry 10:
Theoretical PXRD pattern of Ba2BrClO for Cu Ka, from a cell relaxed with GGA-PBE.
Peak positions follow from Bragg's law for the DFT cell and can differ from measured ones.

Most intense lines, 15° ≤ 2θ ≤ 90°, low angle first:
2θ/deg  intensity
20.83  38
25.21  31
26.45  100
31.47  20
33.90  18
34.37  34
38.88  41
40.65  21
49.10  14
65.61  15

Crystal structure
```
data_Ba2BrClO
_symmetry_space_group_name_H-M 'C 1 2/m 1'
_symmetry_Int_Tables_number 12
_cell_length_a 17.3889
_cell_length_b 4.4385
_cell_length_c 11.1303
_cell_angle_alpha 90.00
_cell_angle_beta 128.78
_cell_angle_gamma 90.00
loop_
_symmetry_equiv_pos_as_xyz
'x,y,z'
'-x,-y,-z'
'-x,y,-z'
'x,-y,z'
'x+1/2,y+1/2,z'
'-x+1/2,-y+1/2,-z'
'-x+1/2,y+1/2,-z'
'x+1/2,-y+1/2,z'
loop_
_atom_site_label
_atom_site_type_symbol
_atom_site_fract_x
_atom_site_fract_y
_atom_site_fract_z
_atom_site_occupancy
Ba1 Ba 0.0868 0.0000 0.3360 1
Ba2 Ba 0.1350 0.5000 0.0572 1
Br1 Br 0.2142 0.5000 0.6426 1
Cl1 Cl 0.1381 0.0000 0.8623 1
O1 O 0.0505 0.5000 0.1838 1
```

***

Entry 11:
Theoretical PXRD pattern of BaSeBr2Cl for Cu Ka, from a cell relaxed with GGA-PBE.
Peak positions follow from Bragg's law for the DFT cell and can differ from measured ones.

Most intense lines, 15° ≤ 2θ ≤ 90°, low angle first:
2θ/deg  intensity
28.67  100
32.20  54
35.20  21
46.19  19
48.45  33
55.27  31
59.22  13
59.37  18
78.23  12
87.25  13

Crystal structure
```
data_BaSeBr2Cl
_symmetry_space_group_name_H-M 'P 4/m m m'
_symmetry_Int_Tables_number 123
_symmetry_space_group_name_Hall '-P 4 2'
_cell_length_a 5.5592
_cell_length_b 5.5592
_cell_length_c 5.0994
_cell_angle_alpha 90.00
_cell_angle_beta 90.00
_cell_angle_gamma 90.00
loop_
_atom_site_label
_atom_site_type_symbol
_atom_site_fract_x
_atom_site_fract_y
_atom_site_fract_z
_atom_site_occupancy
Ba1 Ba 0.0000 0.0000 0.0000 1
Se1 Se 0.5000 0.5000 0.0000 1
Br1 Br 0.0000 0.5000 0.5000 1
Cl1 Cl 0.5000 0.5000 0.5000 1
```

***

Entry 12:
Theoretical PXRD pattern of Ba4SiBr2Cl for Cu Ka, from a cell relaxed with GGA-PBE.
Peak positions follow from Bragg's law for the DFT cell and can differ from measured ones.

Most intense lines, 15° ≤ 2θ ≤ 90°, low angle first:
2θ/deg  intensity
22.77  21
26.39  100
26.56  48
37.41  56
37.88  17
38.19  37
46.51  20
54.33  12
61.12  16
67.54  11

Crystal structure
```
data_Ba4SiBr2Cl
_symmetry_space_group_name_H-M 'P 1 2/m 1'
_symmetry_Int_Tables_number 10
_cell_length_a 8.1139
_cell_length_b 4.8018
_cell_length_c 8.3395
_cell_angle_alpha 90.00
_cell_angle_beta 109.44
_cell_angle_gamma 90.00
loop_
_symmetry_equiv_pos_as_xyz
'x,y,z'
'-x,-y,-z'
'-x,y,-z'
'x,-y,z'
loop_
_atom_site_label
_atom_site_type_symbol
_atom_site_fract_x
_atom_site_fract_y
_atom_site_fract_z
_atom_site_occupancy
Ba1 Ba 0.2330 0.0000 0.2256 1
Ba2 Ba 0.2431 0.5000 0.7710 1
Si1 Si 0.0000 0.5000 0.0000 1
Br1 Br 0.0000 0.0000 0.5000 1
Br2 Br 0.5000 0.5000 0.5000 1
Cl1 Cl 0.5000 0.0000 0.0000 1
```

***

Entry 13:
Theoretical PXRD pattern of BaTcBrCl6 for Cu Ka, from a cell relaxed with GGA-PBE.
Peak positions follow from Bragg's law for the DFT cell and can differ from measured ones.

Most intense lines, 15° ≤ 2θ ≤ 90°, low angle first:
2θ/deg  intensity
17.93  100
24.09  29
26.71  30
30.20  22
33.42  68
38.99  30
42.38  20
51.63  14
53.13  15
55.01  14

Crystal structure
```
data_BaTcBrCl6
_symmetry_space_group_name_H-M 'C 1 2 1'
_symmetry_Int_Tables_number 5
_cell_length_a 7.3897
_cell_length_b 12.7946
_cell_length_c 7.7967
_cell_angle_alpha 90.00
_cell_angle_beta 90.06
_cell_angle_gamma 90.00
loop_
_symmetry_equiv_pos_as_xyz
'x,y,z'
'-x,y,-z'
'x+1/2,y+1/2,z'
'-x+1/2,y+1/2,-z'
loop_
_atom_site_label
_atom_site_type_symbol
_atom_site_fract_x
_atom_site_fract_y
_atom_site_fract_z
_atom_site_occupancy
Ba1 Ba 0.0000 0.0000 0.0000 1
Tc1 Tc 0.0000 0.3334 0.0000 1
Br1 Br 0.0000 0.6666 0.5000 1
Cl1 Cl 0.1300 0.4639 0.8211 1
Cl2 Cl 0.1306 0.2030 0.8210 1
Cl3 Cl 0.2391 0.8332 0.8209 1
```